Tb3HfTe2C2: theoretical XRD peak list (Cu Kα, 1.54184 Å), based on a PBE-relaxed structure.
Kinematic intensities with the Lorentz-polarization factor, no thermal factor.

Crystal structure
```
Tb3HfTe2C2
1.0
3.738 0.000 0.000
-1.869 3.238 0.000
0.000 0.000 14.000
Tb Hf Te C
3 1 2 2
Direct
0.000 0.000 0.000
0.000 0.000 0.320
0.333 0.667 0.510
0.333 0.667 0.822
0.000 0.000 0.677
0.333 0.667 0.158
0.667 0.333 0.417
0.667 0.333 0.895
```

Top 10 peaks for 2θ from 10° to 90°, sorted by position:
Position (°2θ)  d (Å)  intensity  h k l
27.6  3.238  26  1 0 0
33.7  2.660  100  0 1 3
38.6  2.333  13  0 0 6
48.1  1.893  12  1 0 6
48.7  1.869  26  1 1 0
60.5  1.529  19  2 0 3
63.8  1.459  18  1 1 6
66.7  1.402  11  0 1 9
81.3  1.184  17  1 2 3
86.8  1.122  5  2 0 9

SmOsNO: theoretical XRD peak list (Cu Kα, 1.54184 Å), based on a PBE-relaxed structure.
Kinematic intensities with the Lorentz-polarization factor, no thermal factor.

Crystal structure
```
SmOsNO
1.0
5.543 0.000 0.000
0.000 8.684 0.000
0.000 0.000 4.717
Sm Os N O
4 4 4 4
Direct
0.017 0.161 0.000
0.483 0.161 0.500
0.517 0.839 0.000
0.983 0.839 0.500
0.110 0.509 0.179
0.390 0.509 0.679
0.610 0.491 0.179
0.890 0.491 0.679
0.129 0.646 0.838
0.371 0.646 0.338
0.629 0.354 0.838
0.871 0.354 0.338
0.091 0.091 0.508
0.409 0.091 0.008
0.591 0.909 0.508
0.909 0.909 0.008
```

Top 10 peaks for 2θ from 10° to 90°, sorted by position:
Position (°2θ)  d (Å)  intensity  h k l
10.2  8.684  100  0 1 0
20.5  4.342  33  0 2 0
26.9  3.319  55  1 1 1
30.9  2.895  82  0 3 0
32.3  2.769  75  2 0 0
39.1  2.304  53  2 1 1
39.6  2.276  52  0 1 2
43.2  2.093  40  2 2 1
43.7  2.072  32  0 2 2
49.5  1.843  35  2 3 1